Diffraction record for Ac3Zn6Au5. The powder X-ray diffraction pattern is calculated, not measured: it uses a PBE-relaxed structure and Cu Ka.
Kinematic intensities with the Lorentz-polarization factor, no thermal factor.

Main lines, by angle (10° ≤ 2θ ≤ 90°):
h k l  2theta  d [Å]  I_rel
1 3 0  28.3  3.151  39
1 0 3  32.4  2.765  47
0 3 3  32.6  2.745  24
1 3 2  33.1  2.703  100
2 0 0  40.1  2.249  40
0 6 0  40.9  2.207  20
0 3 5  47.9  1.899  21
2 3 5  64.2  1.451  18

Cell and atoms:
```
28
Lattice="4.498 0.000 0.000 0.000 13.240 0.000 0.000 0.000 10.519" Properties=species:S:1:pos:R:3 pbc="T T T"
Ac 1.124 1.079 2.611
Ac 1.124 5.541 2.611
Ac 1.124 9.930 2.588
Ac 3.373 3.310 7.931
Ac 3.373 7.699 7.909
Ac 3.373 12.162 7.909
Zn 1.124 0.846 9.587
Zn 1.124 3.310 0.041
Zn 1.124 3.310 5.245
Zn 1.124 5.775 9.587
Zn 1.124 7.718 5.262
Zn 1.124 12.142 5.262
Zn 3.373 1.098 5.258
Zn 3.373 5.522 5.258
Zn 3.373 7.466 0.933
Zn 3.373 9.930 5.274
Zn 3.373 9.930 10.479
Zn 3.373 12.395 0.933
Au 1.124 1.118 6.832
Au 1.124 5.503 6.832
Au 1.124 8.406 10.200
Au 1.124 9.930 6.806
Au 1.124 11.455 10.200
Au 3.373 1.786 0.319
Au 3.373 3.310 3.714
Au 3.373 4.835 0.319
Au 3.373 7.738 3.687
Au 3.373 12.123 3.687
```

Diffraction record for La2TmTc. The powder X-ray diffraction pattern is calculated, not measured: it uses a PBE-relaxed structure and Cu Ka.
Kinematic intensities with the Lorentz-polarization factor, no thermal factor.

Main lines, by angle (10° ≤ 2θ ≤ 90°):
h k l  2theta  d [Å]  I_rel
1 2 -1  30.0  2.983  77
1 0 1  31.3  2.861  40
0 3 1  32.1  2.784  87
1 1 -2  32.7  2.737  100
1 3 0  36.9  2.434  35
2 0 -1  44.5  2.035  30
2 3 0  56.0  1.643  36
1 5 -2  58.7  1.573  25

Cell and atoms:
```
8
Lattice="4.070 0.000 0.000 0.000 9.416 0.000 -2.028 0.000 6.031" Properties=species:S:1:pos:R:3 pbc="T T T"
La 0.002 0.660 1.691
La 0.002 4.048 1.691
La 2.040 5.368 4.340
La 2.040 8.756 4.340
Tm 0.009 2.354 5.066
Tm 2.033 7.062 0.965
Tc -0.002 7.062 2.889
Tc 2.045 2.354 3.143
```

Diffraction record for AgTeSeBr. The powder X-ray diffraction pattern is calculated, not measured: it uses a PBE-relaxed structure and Cu Ka.
Kinematic intensities with the Lorentz-polarization factor, no thermal factor.

Main lines, by angle (10° ≤ 2θ ≤ 90°):
h k l  2theta  d [Å]  I_rel
0 0 2  22.8  3.908  100
1 1 0  25.1  3.546  83
2 0 -2  25.8  3.449  40
1 1 -1  25.9  3.435  60
1 1 1  29.2  3.056  44
3 1 -1  39.1  2.301  61
0 2 0  45.9  1.979  53
1 1 3  46.3  1.960  38

Cell and atoms:
```
8
Lattice="8.481 0.000 0.000 0.000 3.961 0.000 -2.893 0.000 7.816" Properties=species:S:1:pos:R:3 pbc="T T T"
Ag 0.000 0.000 0.000
Ag 4.240 1.981 0.000
Te 2.082 0.000 3.748
Te 6.322 1.981 3.748
Se -0.182 0.000 2.682
Se 4.058 1.981 2.682
Br -0.352 0.000 6.937
Br 3.889 1.981 6.937
```